Record 1
Diffraction record for ZrGeHAu2. The powder XRD pattern is theoretical, not measured: it uses DFT lattice parameters and positions (GGA-PBE) and a wavelength of 1.5418 Å.

Crystal structure
```
data_ZrGeHAu2
_chemical_formula_sum 'Zr1 Ge1 H1 Au2'
_symmetry_space_group_name_H-M 'P 4/m m m'
_symmetry_Int_Tables_number 123
_symmetry_space_group_name_Hall '-P 4 2'
_cell_length_a 4.7665
_cell_length_b 4.7665
_cell_length_c 5.2236
_cell_angle_alpha 90.00
_cell_angle_beta 90.00
_cell_angle_gamma 90.00
loop_
_atom_site_label
_atom_site_type_symbol
_atom_site_fract_x
_atom_site_fract_y
_atom_site_fract_z
_atom_site_occupancy
Zr1 Zr 0.0000 0.0000 0.0000 1
Ge1 Ge 0.0000 0.0000 0.5000 1
H1 H 0.5000 0.5000 0.0000 1
Au1 Au 0.0000 0.5000 0.5000 1
```

Largest 6 diffraction maxima, in order of rising 2θ, 10 to 90 degrees two-theta:
2θ = 17.0°, I 88, hkl 0 0 1
2θ = 31.6°, I 100, hkl 1 1 1
2θ = 34.3°, I 37, hkl 0 0 2
2θ = 37.7°, I 58, hkl 2 0 0
2θ = 41.7°, I 39, hkl 2 0 1
2θ = 51.9°, I 46, hkl 2 0 2

=====

Record 2
Diffraction record for NdSnTe2O. The powder XRD pattern is theoretical, not measured: it uses DFT lattice parameters and positions (GGA-PBE) and a wavelength of 1.5418 Å.

Crystal structure
```
data_NdSnTe2O
_chemical_formula_sum 'Nd2 Sn2 Te4 O2'
_symmetry_space_group_name_H-M 'P 4/n m m'
_symmetry_Int_Tables_number 129
_cell_length_a 4.1373
_cell_length_b 4.1373
_cell_length_c 16.7552
_cell_angle_alpha 90.00
_cell_angle_beta 90.00
_cell_angle_gamma 90.00
loop_
_symmetry_equiv_pos_as_xyz
'x,y,z'
'-x,-y,-z'
'-y+1/2,x,z'
'y+1/2,-x,-z'
'-x+1/2,-y+1/2,z'
'x+1/2,y+1/2,-z'
'y,-x+1/2,z'
'-y,x+1/2,-z'
'x+1/2,-y,-z'
'-x+1/2,y,z'
'-y,-x,-z'
'y,x,z'
'-x,y+1/2,-z'
'x,-y+1/2,z'
'y+1/2,x+1/2,-z'
'-y+1/2,-x+1/2,z'
loop_
_atom_site_label
_atom_site_type_symbol
_atom_site_fract_x
_atom_site_fract_y
_atom_site_fract_z
_atom_site_occupancy
Nd1 Nd 0.2500 0.2500 0.0692 1
Sn1 Sn 0.2500 0.2500 0.6552 1
Te1 Te 0.2500 0.2500 0.3973 1
Te2 Te 0.2500 0.2500 0.8225 1
O1 O 0.2500 0.7500 0.0000 1
```

Largest 6 diffraction maxima, in order of rising 2θ, 10 to 90 degrees two-theta:
2θ = 26.8°, I 74, hkl 1 0 3
2θ = 30.6°, I 100, hkl 1 1 0
2θ = 34.4°, I 56, hkl 1 0 5
2θ = 37.5°, I 38, hkl 1 1 4
2θ = 43.7°, I 69, hkl 2 0 0
2θ = 63.6°, I 31, hkl 2 2 0

=====

Record 3
Diffraction record for Pr2Y3Bi2Sb2. The powder XRD pattern is theoretical, not measured: it uses DFT lattice parameters and positions (GGA-PBE) and a wavelength of 1.5418 Å.

Crystal structure
```
data_Pr2Y3Bi2Sb2
_chemical_formula_sum 'Pr4 Y6 Bi4 Sb4'
_symmetry_space_group_name_H-M 'I 4/m m m'
_symmetry_Int_Tables_number 139
_symmetry_space_group_name_Hall '-I 4 2'
_cell_length_a 6.0981
_cell_length_b 6.0981
_cell_length_c 15.5074
_cell_angle_alpha 90.00
_cell_angle_beta 90.00
_cell_angle_gamma 90.00
loop_
_atom_site_label
_atom_site_type_symbol
_atom_site_fract_x
_atom_site_fract_y
_atom_site_fract_z
_atom_site_occupancy
Pr1 Pr 0.0000 0.0000 0.0918 1
Y1 Y 0.0000 0.0000 0.5000 1
Y2 Y 0.0000 0.5000 0.2500 1
Bi1 Bi 0.0000 0.0000 0.2978 1
Sb1 Sb 0.0000 0.5000 0.0000 1
```

Largest 6 diffraction maxima, in order of rising 2θ, 10 to 90 degrees two-theta:
2θ = 20.6°, I 20, hkl 1 1 0
2θ = 29.3°, I 100, hkl 2 0 0
2θ = 32.4°, I 63, hkl 1 0 5
2θ = 41.9°, I 38, hkl 2 2 0
2θ = 44.2°, I 54, hkl 2 1 5
2θ = 62.6°, I 19, hkl 3 2 5

=====

Record 4
Diffraction record for Ac5Pr3. The powder XRD pattern is theoretical, not measured: it uses DFT lattice parameters and positions (GGA-PBE) and a wavelength of 1.5418 Å.

Crystal structure
```
data_Ac5Pr3
_chemical_formula_sum 'Ac5 Pr3'
_symmetry_space_group_name_H-M 'P 4/m m m'
_symmetry_Int_Tables_number 123
_symmetry_space_group_name_Hall '-P 4 2'
_cell_length_a 3.9178
_cell_length_b 3.9178
_cell_length_c 21.6959
_cell_angle_alpha 90.00
_cell_angle_beta 90.00
_cell_angle_gamma 90.00
loop_
_atom_site_label
_atom_site_type_symbol
_atom_site_fract_x
_atom_site_fract_y
_atom_site_fract_z
_atom_site_occupancy
Ac1 Ac 0.0000 0.0000 0.0000 1
Ac2 Ac 0.0000 0.0000 0.2446 1
Ac3 Ac 0.5000 0.5000 0.3775 1
Pr1 Pr 0.0000 0.0000 0.5000 1
Pr2 Pr 0.5000 0.5000 0.1215 1
```

Largest 6 diffraction maxima, in order of rising 2θ, 10 to 90 degrees two-theta:
2θ = 28.1°, I 100, hkl 1 0 4
2θ = 32.3°, I 35, hkl 1 1 0
2θ = 33.0°, I 16, hkl 0 0 8
2θ = 46.9°, I 25, hkl 1 1 8
2θ = 55.1°, I 32, hkl 2 1 4
2θ = 56.0°, I 14, hkl 1 0 12

=====

Record 5
Diffraction record for Ac2Be3Au9. The powder XRD pattern is theoretical, not measured: it uses DFT lattice parameters and positions (GGA-PBE) and a wavelength of 1.5418 Å.

Crystal structure
```
data_Ac2Be3Au9
_chemical_formula_sum 'Ac8 Be12 Au36'
_symmetry_space_group_name_H-M 'C 1 2/c 1'
_symmetry_Int_Tables_number 15
_symmetry_space_group_name_Hall '-C 2yc'
_cell_length_a 14.6639
_cell_length_b 7.4270
_cell_length_c 11.8837
_cell_angle_alpha 90.00
_cell_angle_beta 116.42
_cell_angle_gamma 90.00
loop_
_atom_site_label
_atom_site_type_symbol
_atom_site_fract_x
_atom_site_fract_y
_atom_site_fract_z
_atom_site_occupancy
Ac1 Ac 0.1660 0.0458 0.2577 1
Be1 Be 0.0521 0.4220 0.4680 1
Be2 Be 0.2500 0.2500 0.0000 1
Au1 Au 0.0000 0.3314 0.2500 1
Au2 Au 0.0833 0.1144 0.4766 1
Au3 Au 0.0937 0.2657 0.9948 1
Au4 Au 0.1061 0.3829 0.6896 1
Au5 Au 0.2050 0.4521 0.4343 1
```

Largest 6 diffraction maxima, in order of rising 2θ, 10 to 90 degrees two-theta:
2θ = 27.1°, I 55, hkl 4 0 0
2θ = 32.9°, I 58, hkl 5 1 -2
2θ = 33.2°, I 83, hkl 2 2 -3
2θ = 33.5°, I 58, hkl 1 1 -4
2θ = 34.0°, I 66, hkl 3 1 2
2θ = 36.8°, I 100, hkl 6 0 -2

=====

Record 6
Diffraction record for Ce2HgPb5. The powder XRD pattern is theoretical, not measured: it uses DFT lattice parameters and positions (GGA-PBE) and a wavelength of 1.5418 Å.

Crystal structure
```
data_Ce2HgPb5
_chemical_formula_sum 'Ce4 Hg2 Pb10'
_symmetry_space_group_name_H-M 'P b a m'
_symmetry_Int_Tables_number 55
_symmetry_space_group_name_Hall '-P 2 2ab'
_cell_length_a 6.8500
_cell_length_b 13.6964
_cell_length_c 4.8765
_cell_angle_alpha 90.00
_cell_angle_beta 90.00
_cell_angle_gamma 90.00
loop_
_atom_site_label
_atom_site_type_symbol
_atom_site_fract_x
_atom_site_fract_y
_atom_site_fract_z
_atom_site_occupancy
Ce1 Ce 0.2392 0.1279 0.0000 1
Hg1 Hg 0.0000 0.5000 0.5000 1
Pb1 Pb 0.0000 0.0000 0.5000 1
Pb2 Pb 0.0129 0.7481 0.5000 1
Pb3 Pb 0.2369 0.3793 0.0000 1
```

Largest 6 diffraction maxima, in order of rising 2θ, 10 to 90 degrees two-theta:
2θ = 31.9°, I 100, hkl 0 4 1
2θ = 36.9°, I 17, hkl 0 0 2
2θ = 37.1°, I 33, hkl 2 4 0
2θ = 53.3°, I 24, hkl 2 4 2
2θ = 63.3°, I 15, hkl 0 4 3
2θ = 63.7°, I 27, hkl 2 8 1

=====

Record 7
Diffraction record for RbAuBr2Cl6. The powder XRD pattern is theoretical, not measured: it uses DFT lattice parameters and positions (GGA-PBE) and a wavelength of 1.5418 Å.

Crystal structure
```
data_RbAuBr2Cl6
_chemical_formula_sum 'Rb1 Au1 Br2 Cl6'
_symmetry_space_group_name_H-M 'P 1'
_symmetry_Int_Tables_number 1
_symmetry_space_group_name_Hall 'P 1'
_cell_length_a 6.8197
_cell_length_b 7.3970
_cell_length_c 7.9995
_cell_angle_alpha 77.99
_cell_angle_beta 76.19
_cell_angle_gamma 75.23
loop_
_atom_site_label
_atom_site_type_symbol
_atom_site_fract_x
_atom_site_fract_y
_atom_site_fract_z
_atom_site_occupancy
Rb1 Rb 0.0000 0.0000 0.0000 1
Au1 Au 0.4104 0.9025 0.4908 1
Br1 Br 0.0018 0.4805 0.6473 1
Br2 Br 0.7701 0.5654 0.1808 1
Cl1 Cl 0.0932 0.3929 0.1339 1
Cl2 Cl 0.2516 0.6865 0.7023 1
Cl3 Cl 0.3694 0.7678 0.2652 1
Cl4 Cl 0.4587 0.0266 0.7168 1
Cl5 Cl 0.5624 0.1259 0.2904 1
Cl6 Cl 0.7980 0.2850 0.6542 1
```

Largest 6 diffraction maxima, in order of rising 2θ, 10 to 90 degrees two-theta:
2θ = 16.1°, I 100, hkl 1 0 1
2θ = 16.5°, I 63, hkl 1 1 0
2θ = 20.5°, I 58, hkl 1 -1 0
2θ = 23.2°, I 60, hkl 1 -1 1
2θ = 24.0°, I 61, hkl -1 1 1
2θ = 24.6°, I 61, hkl 0 1 2

=====

Record 8
Diffraction record for CdIn2SnHg5. The powder XRD pattern is theoretical, not measured: it uses DFT lattice parameters and positions (GGA-PBE) and a wavelength of 1.5418 Å.

Crystal structure
```
data_CdIn2SnHg5
_chemical_formula_sum 'Cd4 In8 Sn4 Hg20'
_symmetry_space_group_name_H-M 'C m c 21'
_symmetry_Int_Tables_number 36
_symmetry_space_group_name_Hall 'C 2c -2'
_cell_length_a 3.6128
_cell_length_b 17.2422
_cell_length_c 15.4123
_cell_angle_alpha 90.00
_cell_angle_beta 90.00
_cell_angle_gamma 90.00
loop_
_atom_site_label
_atom_site_type_symbol
_atom_site_fract_x
_atom_site_fract_y
_atom_site_fract_z
_atom_site_occupancy
Cd1 Cd 0.0000 0.0217 0.0000 1
In1 In 0.0000 0.3479 0.2302 1
In2 In 0.0000 0.3511 0.8987 1
Sn1 Sn 0.0000 0.3189 0.5602 1
Hg1 Hg 0.0000 0.0036 0.3154 1
Hg2 Hg 0.0000 0.1430 0.5644 1
Hg3 Hg 0.0000 0.1721 0.2303 1
Hg4 Hg 0.0000 0.1723 0.8926 1
Hg5 Hg 0.0000 0.4832 0.6561 1
```

Largest 6 diffraction maxima, in order of rising 2θ, 10 to 90 degrees two-theta:
2θ = 30.7°, I 100, hkl 1 1 3
2θ = 31.1°, I 59, hkl 0 6 0
2θ = 36.5°, I 40, hkl 0 2 6
2θ = 37.9°, I 26, hkl 1 5 2
2θ = 40.2°, I 58, hkl 1 5 3
2θ = 40.9°, I 35, hkl 0 4 6

=====

Record 9
Diffraction record for Cs2Rb4Cd. The powder XRD pattern is theoretical, not measured: it uses DFT lattice parameters and positions (GGA-PBE) and a wavelength of 1.5418 Å.

Crystal structure
```
data_Cs2Rb4Cd
_chemical_formula_sum 'Cs8 Rb16 Cd4'
_symmetry_space_group_name_H-M 'I 4/m c m'
_symmetry_Int_Tables_number 140
_symmetry_space_group_name_Hall '-I 4 2c'
_cell_length_a 16.9413
_cell_length_b 16.9413
_cell_length_c 8.1677
_cell_angle_alpha 90.00
_cell_angle_beta 90.00
_cell_angle_gamma 90.00
loop_
_atom_site_label
_atom_site_type_symbol
_atom_site_fract_x
_atom_site_fract_y
_atom_site_fract_z
_atom_site_occupancy
Cs1 Cs 0.1121 0.3879 0.0000 1
Rb1 Rb 0.0891 0.1814 0.5000 1
Cd1 Cd 0.0000 0.0000 0.2500 1
```

Largest 6 diffraction maxima, in order of rising 2θ, 10 to 90 degrees two-theta:
2θ = 21.8°, I 100, hkl 0 0 2
2θ = 26.8°, I 20, hkl 5 1 0
2θ = 30.4°, I 29, hkl 4 0 2
2θ = 38.2°, I 19, hkl 3 2 3
2θ = 40.3°, I 27, hkl 7 2 1
2θ = 43.8°, I 20, hkl 5 5 2

=====

Record 10
Diffraction record for CeSiNO2. The powder XRD pattern is theoretical, not measured: it uses DFT lattice parameters and positions (GGA-PBE) and a wavelength of 1.5418 Å.

Crystal structure
```
data_CeSiNO2
_chemical_formula_sum 'Ce6 Si6 N6 O12'
_symmetry_space_group_name_H-M 'P 63/m c m'
_symmetry_Int_Tables_number 193
_symmetry_space_group_name_Hall '-P 6c 2'
_cell_length_a 7.0656
_cell_length_b 7.0656
_cell_length_c 9.7589
_cell_angle_alpha 90.00
_cell_angle_beta 90.00
_cell_angle_gamma 120.00
loop_
_atom_site_label
_atom_site_type_symbol
_atom_site_fract_x
_atom_site_fract_y
_atom_site_fract_z
_atom_site_occupancy
Ce1 Ce 0.0000 0.0000 0.0000 1
Ce2 Ce 0.3333 0.6667 0.0000 1
Si1 Si 0.0000 0.2490 0.2500 1
N1 N 0.0000 0.2292 0.7500 1
O1 O 0.0000 0.3693 0.1026 1
```

Largest 6 diffraction maxima, in order of rising 2θ, 10 to 90 degrees two-theta:
2θ = 18.2°, I 31, hkl 0 0 2
2θ = 25.2°, I 47, hkl 1 1 0
2θ = 31.3°, I 100, hkl 1 1 2
2θ = 44.4°, I 27, hkl 3 0 0
2θ = 45.2°, I 32, hkl 1 1 4
2θ = 48.4°, I 26, hkl 3 0 2

=====

Record 11
Diffraction record for K3Cd7Hg2. The powder XRD pattern is theoretical, not measured: it uses DFT lattice parameters and positions (GGA-PBE) and a wavelength of 1.5418 Å.

Crystal structure
```
data_K3Cd7Hg2
_chemical_formula_sum 'K9 Cd21 Hg6'
_symmetry_space_group_name_H-M 'R -3 m'
_symmetry_Int_Tables_number 166
_symmetry_space_group_name_Hall '-R 3 2"'
_cell_length_a 6.2464
_cell_length_b 6.2464
_cell_length_c 31.3925
_cell_angle_alpha 90.00
_cell_angle_beta 90.00
_cell_angle_gamma 120.00
loop_
_atom_site_label
_atom_site_type_symbol
_atom_site_fract_x
_atom_site_fract_y
_atom_site_fract_z
_atom_site_occupancy
K1 K 0.0000 0.0000 0.0000 1
K2 K 0.0000 0.0000 0.1443 1
Cd1 Cd 0.0000 0.0000 0.5000 1
Cd2 Cd 0.0036 0.5018 0.9168 1
Hg1 Hg 0.0000 0.0000 0.3343 1
```

Largest 6 diffraction maxima, in order of rising 2θ, 10 to 90 degrees two-theta:
2θ = 16.6°, I 66, hkl 1 0 1
2θ = 33.4°, I 100, hkl 1 1 6
2θ = 34.3°, I 34, hkl 0 0 12
2θ = 36.2°, I 44, hkl 2 0 5
2θ = 38.9°, I 31, hkl 0 2 7
2θ = 59.2°, I 29, hkl 2 2 0

=====

Record 12
Diffraction record for Li2ReGeN4. The powder XRD pattern is theoretical, not measured: it uses DFT lattice parameters and positions (GGA-PBE) and a wavelength of 1.5418 Å.

Crystal structure
```
data_Li2ReGeN4
_chemical_formula_sum 'Li4 Re2 Ge2 N8'
_symmetry_space_group_name_H-M 'P m n 21'
_symmetry_Int_Tables_number 31
_symmetry_space_group_name_Hall 'P 2ac -2'
_cell_length_a 6.3567
_cell_length_b 5.8319
_cell_length_c 5.2667
_cell_angle_alpha 90.00
_cell_angle_beta 90.00
_cell_angle_gamma 90.00
loop_
_atom_site_label
_atom_site_type_symbol
_atom_site_fract_x
_atom_site_fract_y
_atom_site_fract_z
_atom_site_occupancy
Li1 Li 0.2500 0.1593 0.0000 1
Re1 Re 0.0000 0.3373 0.5076 1
Ge1 Ge 0.0000 0.6524 0.0026 1
N1 N 0.0000 0.3514 0.8615 1
N2 N 0.0000 0.6275 0.3685 1
N3 N 0.2493 0.1882 0.4087 1
```

Largest 6 diffraction maxima, in order of rising 2θ, 10 to 90 degrees two-theta:
2θ = 15.2°, I 54, hkl 0 1 0
2θ = 22.8°, I 100, hkl 0 1 1
2θ = 28.1°, I 39, hkl 2 0 0
2θ = 35.2°, I 32, hkl 0 2 1
2θ = 36.4°, I 49, hkl 2 1 1
2θ = 45.6°, I 37, hkl 2 2 1